For Be2VZn2O6, a DFT-relaxed cell (GGA+U, Alexandria) gives the simulated X-ray diffraction stick pattern in this record (Cu Kα, 1.54184 Å).

Atomic structure:
```
Be2VZn2O6
1.0
5.0271 0.0000 0.0000
-2.5136 4.3536 0.0000
0.0000 0.0000 6.1079
Be V Zn O
2 1 2 6
Direct
0.3333 0.6667 0.2949
0.6667 0.3333 0.7051
0.0000 0.0000 0.5000
0.3333 0.6667 0.7283
0.6667 0.3333 0.2717
0.0491 0.7081 0.3082
0.2919 0.3410 0.3082
0.3410 0.0491 0.6918
0.6590 0.9509 0.3082
0.7081 0.6590 0.6918
0.9509 0.2919 0.6918
```

Largest 10 diffraction maxima, sorted by position, 10° ≤ 2θ ≤ 80°:
hkl 0 0 1, 14.5 deg, I 745
hkl 0 1 1, 25.1 deg, I 1000
hkl 0 0 2, 29.2 deg, I 315
hkl 1 1 0, 35.7 deg, I 452
hkl 0 1 2, 35.9 deg, I 522
hkl 2 -1 1, 38.7 deg, I 238
hkl 2 0 1, 44.2 deg, I 410
hkl 1 0 3, 49.4 deg, I 224
hkl 2 0 2, 51.6 deg, I 238
hkl 3 -2 1, 58.1 deg, I 241